# CoPb4O6
Computed powder diffractogram, Cu Ka. Input: DFT lattice parameters and positions (GGA+U).

Structural model:
```
data_CoPb4O6
_symmetry_space_group_name_H-M 'C 1 c 1'
_symmetry_Int_Tables_number 9
_cell_length_a 12.773
_cell_length_b 6.647
_cell_length_c 11.300
_cell_angle_alpha 90.00
_cell_angle_beta 117.37
_cell_angle_gamma 90.00
loop_
_symmetry_equiv_pos_as_xyz
'x,y,z'
'x,-y,z+1/2'
'x+1/2,y+1/2,z'
'x+1/2,-y+1/2,z+1/2'
loop_
_atom_site_label
_atom_site_type_symbol
_atom_site_fract_x
_atom_site_fract_y
_atom_site_fract_z
Co1 Co 0.000 0.210 0.000
Pb1 Pb 0.076 0.175 0.754
Pb2 Pb 0.240 0.405 0.257
Pb3 Pb 0.282 0.032 0.568
Pb4 Pb 0.483 0.191 0.893
O1 O 0.144 0.128 0.364
O2 O 0.164 0.244 0.057
O3 O 0.293 0.261 0.719
O4 O 0.420 0.272 0.309
O5 O 0.456 0.060 0.554
O6 O 0.481 0.445 0.037
```

Top 10 peaks for 2θ from 10° to 90°, low angle first:
| two_theta | I/Imax | (hkl) |
| --- | --- | --- |
| 20.6 | 33 | 1 1 -2 |
| 24.9 | 62 | 3 1 -1 |
| 25.8 | 100 | 3 1 -2 |
| 26.2 | 49 | 1 1 2 |
| 27.6 | 34 | 1 1 -3 |
| 28.3 | 63 | 0 2 1 |
| 28.7 | 45 | 2 0 2 |
| 29.5 | 45 | 3 1 -3 |
| 31.2 | 55 | 2 2 0 |
| 44.8 | 47 | 6 0 -4 |